Theoretical powder XRD pattern
Compound: CoNiSb
Radiation: Cu Kα (λ = 1.5418 Å)
Structure: a cell relaxed with PBE
Intensities are scaled so that the largest is 100.

Structure:
Lattice parameters (Å, degrees): 4.2433 4.2433 5.3802 90.00 90.00 120.00
Space group P6_3/mmc (No. 194)
Symmetry-distinct sites (fractional):
Co1 0.0000 0.0000 0.0000 [2 per cell]
Ni1 0.3333 0.6667 0.2500 [2 per cell]
Sb1 0.3333 0.6667 0.7500 [2 per cell]

Largest 6 diffraction maxima, by angle, 5 to 70 degrees two-theta:
- (1 0 1), 29.43°, rel. 20.6
- (0 0 2), 33.31°, rel. 16.7
- (1 0 2), 41.61°, rel. 83.8
- (1 1 0), 42.61°, rel. 100.0
- (1 1 2), 55.13°, rel. 23.3
- (2 0 2), 61.07°, rel. 25.3

Theoretical powder XRD pattern
Compound: Si3Pt
Radiation: Cu Kα (λ = 1.5418 Å)
Structure: a cell relaxed with PBE
Intensities are scaled so that the largest is 100.

Structure:
Lattice parameters (Å, degrees): 7.4789 7.4789 2.6919 90.00 90.00 120.00
Space group P6_3/mmc (No. 194)
Symmetry-distinct sites (fractional):
Si1 0.1684 0.3368 0.2500 [6 per cell]
Pt1 0.3333 0.6667 0.7500 [2 per cell]

Largest 6 diffraction maxima, by angle, 5 to 70 degrees two-theta:
- (1 0 0), 13.67°, rel. 88.9
- (1 1 0), 23.79°, rel. 100.0
- (2 0 0), 27.54°, rel. 52.9
- (1 0 1), 36.13°, rel. 52.4
- (2 0 1), 43.73°, rel. 89.3
- (2 2 0), 48.70°, rel. 43.5

Theoretical powder XRD pattern
Compound: Na2HgAuF6
Radiation: Cu Kα (λ = 1.5418 Å)
Structure: a cell relaxed with PBE
Intensities are scaled so that the largest is 100.

Structure:
Lattice parameters (Å, degrees): 9.0312 9.0312 9.0312 90.00 90.00 90.00
Space group Fm-3m (No. 225)
Symmetry-distinct sites (fractional):
Na1 0.2500 0.2500 0.2500 [8 per cell]
Hg1 0.0000 0.0000 0.0000 [4 per cell]
Au1 0.0000 0.0000 0.5000 [4 per cell]
F1 0.0000 0.0000 0.2519 [24 per cell]

Largest 6 diffraction maxima, by angle, 5 to 70 degrees two-theta:
- (2 0 0), 19.66°, rel. 100.0
- (2 2 0), 27.94°, rel. 94.3
- (4 0 0), 39.93°, rel. 35.4
- (4 2 0), 44.88°, rel. 48.6
- (4 2 2), 49.44°, rel. 41.2
- (6 0 0), 61.62°, rel. 23.7

Theoretical powder XRD pattern
Compound: BaMgSi
Radiation: Cu Kα (λ = 1.5418 Å)
Structure: a cell relaxed with PBE
Intensities are scaled so that the largest is 100.

Structure:
Lattice parameters (Å, degrees): 8.1824 4.7898 8.6887 90.00 90.00 90.00
Space group Pnma (No. 62)
Symmetry-distinct sites (fractional):
Ba1 0.0146 0.2500 0.1815 [4 per cell]
Mg1 0.1395 0.2500 0.5632 [4 per cell]
Si1 0.2043 0.7500 0.3929 [4 per cell]

Largest 6 diffraction maxima, by angle, 5 to 70 degrees two-theta:
- (0 1 1), 21.18°, rel. 55.9
- (2 0 0), 21.72°, rel. 31.7
- (1 1 2), 29.84°, rel. 83.4
- (2 1 1), 30.52°, rel. 100.0
- (1 0 3), 32.80°, rel. 37.7
- (0 2 0), 37.56°, rel. 27.1

Theoretical powder XRD pattern
Compound: ScAu3
Radiation: Cu Kα (λ = 1.5418 Å)
Structure: a cell relaxed with PBE
Intensities are scaled so that the largest is 100.

Structure:
Lattice parameters (Å, degrees): 6.6946 6.6946 6.6946 90.00 90.00 90.00
Space group Fm-3m (No. 225)
Symmetry-distinct sites (fractional):
Sc1 0.0000 0.0000 0.0000 [4 per cell]
Au1 0.0000 0.0000 0.5000 [4 per cell]
Au2 0.2500 0.2500 0.2500 [8 per cell]

Largest 6 diffraction maxima, by angle, 5 to 70 degrees two-theta:
- (1 1 1), 23.01°, rel. 13.2
- (2 0 0), 26.63°, rel. 7.1
- (2 2 0), 38.02°, rel. 100.0
- (3 1 1), 44.91°, rel. 7.4
- (4 0 0), 54.85°, rel. 17.4
- (4 2 2), 68.69°, rel. 35.7

Theoretical powder XRD pattern
Compound: Pu2Re3Si5
Radiation: Cu Kα (λ = 1.5418 Å)
Structure: a cell relaxed with PBE
Intensities are scaled so that the largest is 100.

Structure:
Lattice parameters (Å, degrees): 10.9400 10.9400 5.4061 90.00 90.00 90.00
Space group P4/mnc (No. 128)
Symmetry-distinct sites (fractional):
Pu1 0.0756 0.2342 0.0000 [8 per cell]
Re1 0.0000 0.5000 0.2500 [4 per cell]
Re2 0.1224 0.8580 0.5000 [8 per cell]
Si1 0.0000 0.0000 0.2236 [4 per cell]
Si2 0.0272 0.3143 0.5000 [8 per cell]
Si3 0.1747 0.6747 0.2500 [8 per cell]

Largest 6 diffraction maxima, by angle, 5 to 70 degrees two-theta:
- (3 1 0), 25.75°, rel. 76.4
- (3 1 1), 30.68°, rel. 100.0
- (1 1 2), 35.17°, rel. 32.6
- (4 2 0), 36.74°, rel. 44.9
- (4 1 1), 37.77°, rel. 81.3
- (2 2 2), 40.72°, rel. 50.4